# 1
For Li3VPCO7, a DFT-relaxed cell (PBE+U, the Materials Project) gives the calculated powder XRD pattern in this record (Cu Ka).
Peak positions follow from Bragg's law for the DFT cell and can differ from measured ones.

Peak list (10 most intense, 10° ≤ 2θ ≤ 90°, sorted by position)
2θ = 10.44°, intensity 67
2θ = 17.01°, intensity 15
2θ = 19.64°, intensity 29
2θ = 21.73°, intensity 51
2θ = 25.62°, intensity 25
2θ = 26.02°, intensity 29
2θ = 26.98°, intensity 100
2θ = 36.49°, intensity 31
2θ = 40.85°, intensity 20
2θ = 55.62°, intensity 15

Structure:
```
data_Li3VPCO7
_cell_length_a 5.004
_cell_length_b 6.610
_cell_length_c 8.532
_cell_angle_alpha 90.00
_cell_angle_beta 96.56
_cell_angle_gamma 90.00
_space_group_name_H-M_alt 'P 1 21/m 1'
_space_group_IT_number 11
_space_group_name_Hall '-P 2yb'
loop_
_atom_site_label
_atom_site_type_symbol
_atom_site_fract_x
_atom_site_fract_y
_atom_site_fract_z
Li1 Li 0.204 0.250 0.105
Li2 Li 0.267 0.522 0.721
V1 V 0.209 0.750 0.326
P1 P 0.269 0.250 0.410
C1 C 0.329 0.750 0.036
O1 O 0.080 0.750 0.066
O2 O 0.162 0.067 0.306
O3 O 0.168 0.250 0.574
O4 O 0.393 0.750 0.894
O5 O 0.417 0.750 0.567
O6 O 0.487 0.250 0.842
```



# 2
For BaV2ZnO7, a DFT-relaxed cell (PBE+U, the Materials Project) gives the calculated powder XRD pattern in this record (Cu Ka).
Peak positions follow from Bragg's law for the DFT cell and can differ from measured ones.

Peak list (10 most intense, 10° ≤ 2θ ≤ 90°, sorted by position)
2θ = 21.86°, intensity 26
2θ = 24.25°, intensity 40
2θ = 27.09°, intensity 49
2θ = 27.49°, intensity 73
2θ = 28.06°, intensity 100
2θ = 29.34°, intensity 38
2θ = 29.76°, intensity 37
2θ = 30.52°, intensity 37
2θ = 31.79°, intensity 60
2θ = 36.95°, intensity 29

Structure:
```
data_BaV2ZnO7
_cell_length_a 5.667
_cell_length_b 15.417
_cell_length_c 8.949
_cell_angle_alpha 90.00
_cell_angle_beta 122.39
_cell_angle_gamma 90.00
_space_group_name_H-M_alt 'P 1 21/c 1'
_space_group_IT_number 14
_space_group_name_Hall '-P 2ybc'
loop_
_atom_site_label
_atom_site_type_symbol
_atom_site_fract_x
_atom_site_fract_y
_atom_site_fract_z
Ba1 Ba 0.070 0.215 0.355
V1 V 0.417 0.062 0.213
V2 V 0.419 0.634 0.667
Zn1 Zn 0.077 0.551 0.869
O1 O 0.215 0.143 0.710
O2 O 0.220 0.554 0.131
O3 O 0.240 0.052 0.321
O4 O 0.268 0.717 0.522
O5 O 0.301 0.638 0.809
O6 O 0.314 0.528 0.559
O7 O 0.346 0.160 0.116
```



# 3
For Li2MnP2O7, a DFT-relaxed cell (PBE+U, the Materials Project) gives the calculated powder XRD pattern in this record (Cu Ka).
Peak positions follow from Bragg's law for the DFT cell and can differ from measured ones.

Peak list (10 most intense, 10° ≤ 2θ ≤ 90°, sorted by position)
2θ = 17.32°, intensity 100
2θ = 20.72°, intensity 40
2θ = 23.66°, intensity 23
2θ = 25.42°, intensity 92
2θ = 28.69°, intensity 27
2θ = 30.93°, intensity 36
2θ = 36.26°, intensity 21
2θ = 36.90°, intensity 20
2θ = 40.45°, intensity 52
2θ = 51.31°, intensity 25

Structure:
```
data_Li2MnP2O7
_cell_length_a 7.834
_cell_length_b 7.834
_cell_length_c 5.121
_cell_angle_alpha 90.00
_cell_angle_beta 90.00
_cell_angle_gamma 90.00
_space_group_name_H-M_alt 'P -4 21 m'
_space_group_IT_number 113
_space_group_name_Hall 'P -4 2ab'
loop_
_atom_site_label
_atom_site_type_symbol
_atom_site_fract_x
_atom_site_fract_y
_atom_site_fract_z
Li1 Li 0.226 0.274 0.047
Mn1 Mn 0.000 0.000 0.500
P1 P 0.141 0.641 0.388
O1 O 0.000 0.500 0.305
O2 O 0.078 0.804 0.248
O3 O 0.156 0.656 0.680
```